Diffraction record for Cs2TlAuF6. The powder X-ray diffraction pattern is simulated, not measured: it uses a PBE-relaxed structure and a wavelength of 1.5418 Å.
Neutral-atom scattering factors, no anomalous dispersion.

The 8 most intense peaks (2θ = 10–80°), by angle:
| 2theta | intensity |
| --- | --- |
| 18.91 | 9.3 |
| 26.86 | 100.0 |
| 38.36 | 30.8 |
| 47.45 | 43.4 |
| 55.37 | 20.5 |
| 62.59 | 19.6 |
| 69.36 | 6.8 |
| 75.84 | 22.8 |

```
data_Cs2TlAuF6
_cell_length_a 9.387
_cell_length_b 9.387
_cell_length_c 9.387
_cell_angle_alpha 90.00
_cell_angle_beta 90.00
_cell_angle_gamma 90.00
_space_group_name_H-M_alt 'F m -3 m'
_space_group_IT_number 225
_space_group_name_Hall '-F 4 2 3'
loop_
_atom_site_label
_atom_site_type_symbol
_atom_site_fract_x
_atom_site_fract_y
_atom_site_fract_z
Cs1 Cs 0.250 0.250 0.250
Tl1 Tl 0.000 0.000 0.000
Au1 Au 0.000 0.000 0.500
F1 F 0.000 0.000 0.239
```

Diffraction record for UHg3Te2Cl6. The powder X-ray diffraction pattern is simulated, not measured: it uses a PBE-relaxed structure and a wavelength of 1.5418 Å.
Neutral-atom scattering factors, no anomalous dispersion.

The 8 most intense peaks (2θ = 10–80°), by angle:
| 2theta | intensity |
| --- | --- |
| 12.61 | 41.8 |
| 17.73 | 100.0 |
| 18.16 | 45.9 |
| 25.40 | 84.0 |
| 28.28 | 33.6 |
| 35.91 | 56.1 |
| 36.55 | 51.0 |
| 44.74 | 38.8 |

```
data_UHg3Te2Cl6
_cell_length_a 7.026
_cell_length_b 8.082
_cell_length_c 14.052
_cell_angle_alpha 90.00
_cell_angle_beta 91.93
_cell_angle_gamma 90.00
_space_group_name_H-M_alt 'P 1 21/c 1'
_space_group_IT_number 14
loop_
_space_group_symop_operation_xyz
'x,y,z'
'-x,-y,-z'
'-x,y+1/2,-z+1/2'
'x,-y+1/2,z+1/2'
loop_
_atom_site_label
_atom_site_type_symbol
_atom_site_fract_x
_atom_site_fract_y
_atom_site_fract_z
U1 U 0.000 0.000 0.000
Hg1 Hg 0.495 0.212 0.241
Hg2 Hg 0.500 0.000 0.500
Te1 Te 0.302 0.532 0.830
Cl1 Cl 0.151 0.224 0.570
Cl2 Cl 0.158 0.047 0.836
Cl3 Cl 0.309 0.661 0.559
```